Calculated powder diffractogram of NaLaSe2 for λ = 1.5418 Å (Cu Kα), from a cell relaxed with GGA-PBE.

Crystal structure
Cell lengths 4.3853, 4.3853, 21.0633 Å; angles 90.00, 90.00, 120.00 degrees
Space group R-3m (No. 166, hexagonal axes)
Inequivalent atoms, fractional coordinates:
Na  0.0000  0.0000  0.0000 [3 per cell]
La  0.0000  0.0000  0.5000 [3 per cell]
Se  0.0000  0.0000  0.2449 [6 per cell]

The 10 most intense peaks (2θ from 5° to 70°), sorted by position:
index  d/Å  intensity
0 0 3  7.021  37.1
1 0 1  3.738  18.2
1 0 4  3.080  100.0
1 1 0  2.193  38.5
0 1 8  2.164  35.8
1 1 3  2.093  10.7
0 2 4  1.786  20.1
2 0 8  1.540  12.0
2 1 4  1.385  17.1
1 1 12  1.370  15.4